Structure and calculated XRD peak list of UTe2BrO8 (DFT lattice parameters and positions (PBE); λ = 1.5418 Å (Cu Kα)).
Peak positions follow from Bragg's law for the DFT cell and can differ from measured ones.

The 8 most intense peaks (2θ from 5° to 70°), sorted by position:
16.8 deg, 5.292 Å, I 27.8, (1 0 0)
20.8 deg, 4.277 Å, I 100.0, (1 0 1)
29.2 deg, 3.056 Å, I 74.2, (1 1 0)
29.8 deg, 2.994 Å, I 75.4, (0 1 2)
42.3 deg, 2.138 Å, I 34.9, (2 0 2)
47.1 deg, 1.928 Å, I 22.7, (2 1 1)
52.2 deg, 1.752 Å, I 32.0, (1 2 2)
59.2 deg, 1.560 Å, I 21.0, (1 1 4)

Structure:
```
data_UTe2BrO8
_cell_length_a 6.111
_cell_length_b 6.111
_cell_length_c 7.260
_cell_angle_alpha 90.00
_cell_angle_beta 90.00
_cell_angle_gamma 120.00
_space_group_name_H-M_alt 'P 1'
_space_group_IT_number 1
loop_
_space_group_symop_operation_xyz
'x,y,z'
loop_
_atom_site_label
_atom_site_fract_x
_atom_site_fract_y
_atom_site_fract_z
_atom_site_occupancy
U1 0.000 0.000 0.000 1
Te1 0.333 0.667 0.729 1
Te2 0.667 0.333 0.271 1
Br1 0.000 0.000 0.500 1
O1 0.175 0.349 0.852 1
O2 0.175 0.825 0.852 1
O3 0.333 0.667 0.480 1
O4 0.349 0.175 0.148 1
O5 0.651 0.825 0.852 1
O6 0.667 0.333 0.520 1
O7 0.825 0.175 0.148 1
O8 0.825 0.651 0.148 1
```